# 1
For ZnNi3, a GGA-PBE-relaxed structure gives the computed X-ray diffraction stick pattern in this record (Cu Kα (λ = 1.5418 Å)).
Kinematic intensities with the Lorentz-polarization factor, no thermal factor.

Principal peaks in the range 2θ from 5° to 70°, by intensity:
| d [Å] | intensity |
| --- | --- |
| 2.061 | 100 |
| 1.785 | 47 |

Cell and atoms:
```
data_ZnNi3
_symmetry_space_group_name_H-M 'P 1'
_symmetry_Int_Tables_number 1
_cell_length_a 3.5691
_cell_length_b 3.5691
_cell_length_c 3.5691
_cell_angle_alpha 90.00
_cell_angle_beta 90.00
_cell_angle_gamma 90.00
loop_
_symmetry_equiv_pos_as_xyz
'x,y,z'
loop_
_atom_site_label
_atom_site_type_symbol
_atom_site_fract_x
_atom_site_fract_y
_atom_site_fract_z
Zn1 Zn 0.0000 0.0000 0.0000
Ni1 Ni 0.0000 0.5000 0.5000
Ni2 Ni 0.5000 0.0000 0.5000
Ni3 Ni 0.5000 0.5000 0.0000
```

***

# 2
For EuB4Ru4, a GGA-PBE-relaxed structure gives the computed X-ray diffraction stick pattern in this record (Cu Kα (λ = 1.5418 Å)).
Kinematic intensities with the Lorentz-polarization factor, no thermal factor.

Principal peaks in the range 2θ from 5° to 70°, by intensity:
| d [Å] | intensity |
| --- | --- |
| 2.270 | 100 |
| 2.800 | 62 |
| 2.279 | 43 |
| 2.250 | 38 |
| 2.666 | 28 |
| 1.449 | 13 |
| 1.451 | 13 |
| 2.068 | 13 |
| 1.684 | 13 |
| 3.763 | 11 |
| 2.176 | 10 |
| 1.455 | 10 |

Cell and atoms:
```
data_EuB4Ru4
_symmetry_space_group_name_H-M 'P 1'
_symmetry_Int_Tables_number 1
_cell_length_a 9.2498
_cell_length_b 9.2498
_cell_length_c 9.2498
_cell_angle_alpha 131.99
_cell_angle_beta 131.99
_cell_angle_gamma 70.25
loop_
_symmetry_equiv_pos_as_xyz
'x,y,z'
loop_
_atom_site_label
_atom_site_type_symbol
_atom_site_fract_x
_atom_site_fract_y
_atom_site_fract_z
Eu1 Eu 0.1250 0.3750 0.7500
Eu2 Eu 0.3750 0.1250 0.2500
Eu3 Eu 0.6250 0.8750 0.7500
Eu4 Eu 0.8750 0.6250 0.2500
B1 B 0.0677 0.1256 0.2808
B2 B 0.1256 0.3447 0.0579
B3 B 0.1553 0.3744 0.4421
B4 B 0.2131 0.9323 0.5579
B5 B 0.2869 0.8447 0.7192
B6 B 0.3447 0.7869 0.2192
B7 B 0.3744 0.4323 0.2192
B8 B 0.4323 0.7131 0.0579
B9 B 0.5677 0.2869 0.9421
B10 B 0.6256 0.5677 0.7808
B11 B 0.6553 0.2131 0.7808
B12 B 0.7131 0.1553 0.2808
B13 B 0.7869 0.0677 0.4421
B14 B 0.8447 0.6256 0.5579
B15 B 0.8744 0.6553 0.9421
B16 B 0.9323 0.8744 0.7192
Ru1 Ru 0.0383 0.8229 0.9874
Ru2 Ru 0.0510 0.0383 0.7154
Ru3 Ru 0.1645 0.6771 0.7154
Ru4 Ru 0.1771 0.6645 0.2154
Ru5 Ru 0.3229 0.5383 0.4874
Ru6 Ru 0.3355 0.0510 0.5126
Ru7 Ru 0.4490 0.1645 0.9874
Ru8 Ru 0.4617 0.4490 0.7846
Ru9 Ru 0.5383 0.5510 0.2154
Ru10 Ru 0.5510 0.8355 0.0126
Ru11 Ru 0.6645 0.9490 0.4874
Ru12 Ru 0.6771 0.4617 0.5126
Ru13 Ru 0.8229 0.3355 0.7846
Ru14 Ru 0.8355 0.3229 0.2846
Ru15 Ru 0.9490 0.9617 0.2846
Ru16 Ru 0.9617 0.1771 0.0126
```

***

# 3
For LaSbRh, a GGA-PBE-relaxed structure gives the computed X-ray diffraction stick pattern in this record (Cu Kα (λ = 1.5418 Å)).
Kinematic intensities with the Lorentz-polarization factor, no thermal factor.

Principal peaks in the range 2θ from 5° to 70°, by intensity:
| d [Å] | intensity |
| --- | --- |
| 2.775 | 100 |
| 2.827 | 61 |
| 2.317 | 61 |
| 2.350 | 46 |
| 2.419 | 36 |
| 2.756 | 34 |
| 1.489 | 27 |
| 1.686 | 24 |
| 1.788 | 21 |
| 1.362 | 16 |
| 1.426 | 14 |
| 1.350 | 11 |

Cell and atoms:
```
data_LaSbRh
_symmetry_space_group_name_H-M 'P 1'
_symmetry_Int_Tables_number 1
_cell_length_a 7.6151
_cell_length_b 4.7003
_cell_length_c 7.9906
_cell_angle_alpha 90.00
_cell_angle_beta 90.00
_cell_angle_gamma 90.00
loop_
_symmetry_equiv_pos_as_xyz
'x,y,z'
loop_
_atom_site_label
_atom_site_type_symbol
_atom_site_fract_x
_atom_site_fract_y
_atom_site_fract_z
La1 La 0.0191 0.2500 0.1971
La2 La 0.4809 0.7500 0.6971
La3 La 0.5191 0.2500 0.3029
La4 La 0.9809 0.7500 0.8029
Sb1 Sb 0.1827 0.2500 0.5885
Sb2 Sb 0.3173 0.7500 0.0885
Sb3 Sb 0.6827 0.2500 0.9115
Sb4 Sb 0.8173 0.7500 0.4115
Rh1 Rh 0.1949 0.7500 0.4113
Rh2 Rh 0.3051 0.2500 0.9113
Rh3 Rh 0.6949 0.7500 0.0887
Rh4 Rh 0.8051 0.2500 0.5887
```

***

# 4
For PaN, a GGA-PBE-relaxed structure gives the computed X-ray diffraction stick pattern in this record (Cu Kα (λ = 1.5418 Å)).
Kinematic intensities with the Lorentz-polarization factor, no thermal factor.

Principal peaks in the range 2θ from 5° to 70°, by intensity:
| d [Å] | intensity |
| --- | --- |
| 2.861 | 100 |
| 2.478 | 65 |
| 1.752 | 46 |
| 1.494 | 46 |
| 1.431 | 16 |

Cell and atoms:
```
data_PaN
_symmetry_space_group_name_H-M 'P 1'
_symmetry_Int_Tables_number 1
_cell_length_a 3.5042
_cell_length_b 3.5042
_cell_length_c 3.5042
_cell_angle_alpha 60.00
_cell_angle_beta 60.00
_cell_angle_gamma 60.00
loop_
_symmetry_equiv_pos_as_xyz
'x,y,z'
loop_
_atom_site_label
_atom_site_type_symbol
_atom_site_fract_x
_atom_site_fract_y
_atom_site_fract_z
Pa1 Pa 0.0000 0.0000 0.0000
N1 N 0.5000 0.5000 0.5000
```